Record 1
Structure and calculated PXRD pattern of Cs2Sc2Sn (DFT lattice parameters and positions (PBE); CuKα).
Lines closer than 0.1° are merged.

Top 6 peaks for 2θ from 10° to 80°, in order of falling intensity:
index	2θ/deg	I/Imax
2 1 1	31.89	100
3 1 0	28.52	92
3 1 1	37.96	49
2 1 0	20.06	39
0 0 1	24.53	32
3 1 2	58.82	24

Crystal structure
```
Cs2Sc2Sn
1.0
9.8975 0.0000 0.0000
0.0000 9.8975 0.0000
0.0000 0.0000 3.6293
Cs Sc Sn
4 4 2
direct
0.1314 0.3686 0.0000
0.3686 0.8686 0.0000
0.6314 0.1314 0.0000
0.8686 0.6314 0.0000
0.1807 0.6807 0.5000
0.3193 0.1807 0.5000
0.6807 0.8193 0.5000
0.8193 0.3193 0.5000
0.0000 0.0000 0.0000
0.5000 0.5000 0.0000
```

=====

Record 2
Structure and calculated PXRD pattern of CsScTe2 (DFT lattice parameters and positions (PBE); CuKα).
Lines closer than 0.1° are merged.

Top 6 peaks for 2θ from 10° to 80°, in order of falling intensity:
index	2θ/deg	I/Imax
2 1 1	24.21	100
2 0 2	30.22	58
3 1 0	30.10	38
4 0 2	45.39	30
1 1 2	26.99	27
2 2 0	26.86	24

Crystal structure
```
CsScTe2
1.0
9.3879 0.0000 0.0000
0.0000 9.3879 0.0000
0.0000 0.0000 7.6160
Cs Sc Te
4 4 8
direct
0.0000 0.0000 0.2500
0.0000 0.0000 0.7500
0.5000 0.5000 0.2500
0.5000 0.5000 0.7500
0.0000 0.5000 0.2500
0.0000 0.5000 0.7500
0.5000 0.0000 0.2500
0.5000 0.0000 0.7500
0.1572 0.3428 0.0000
0.1572 0.6572 0.5000
0.3428 0.1572 0.5000
0.3428 0.8428 0.0000
0.6572 0.1572 0.0000
0.6572 0.8428 0.5000
0.8428 0.3428 0.5000
0.8428 0.6572 0.0000
```